Record 1
Calculated XRD peak list
Compound: CsRbH2Ir
Radiation: λ = 1.5418 Å (Cu Kα)
Structure: a cell relaxed with GGA-PBE

Crystal structure
```
CsRbH2Ir
1.0
5.387 0.000 0.000
-2.694 4.665 0.000
0.000 0.000 18.240
Cs Rb H Ir
3 3 6 3
Direct
0.000 0.000 0.000 Cs
0.333 0.667 0.667 Cs
0.667 0.333 0.333 Cs
0.000 0.000 0.492 Rb
0.333 0.667 0.158 Rb
0.667 0.333 0.825 Rb
0.000 0.000 0.649 H
0.000 0.000 0.837 H
0.333 0.667 0.316 H
0.333 0.667 0.503 H
0.667 0.333 0.170 H
0.667 0.333 0.983 H
0.000 0.000 0.743 Ir
0.333 0.667 0.410 Ir
0.667 0.333 0.077 Ir
```

Top 6 peaks for 2θ = 10–90°, sorted by position:
14.6°, intensity 40
19.6°, intensity 50
27.3°, intensity 100
33.3°, intensity 62
43.6°, intensity 28
55.9°, intensity 27



Record 2
Calculated XRD peak list
Compound: CsKH4Pd
Radiation: λ = 1.5418 Å (Cu Kα)
Structure: a cell relaxed with GGA-PBE

Crystal structure
```
CsKH4Pd
1.0
6.068 0.000 0.000
0.000 6.068 0.000
0.000 0.000 8.083
Cs K H Pd
2 2 8 2
Direct
0.000 0.000 0.000 Cs
0.500 0.500 0.500 Cs
0.000 0.000 0.500 K
0.500 0.500 0.000 K
0.194 0.306 0.250 H
0.194 0.694 0.250 H
0.306 0.194 0.750 H
0.306 0.806 0.750 H
0.694 0.194 0.750 H
0.694 0.806 0.750 H
0.806 0.306 0.250 H
0.806 0.694 0.250 H
0.000 0.500 0.250 Pd
0.500 0.000 0.750 Pd
```

Top 6 peaks for 2θ = 10–90°, sorted by position:
18.3°, intensity 90
29.4°, intensity 52
30.4°, intensity 100
34.9°, intensity 34
42.1°, intensity 20
52.8°, intensity 40



Record 3
Calculated XRD peak list
Compound: CsNaH4Pd
Radiation: λ = 1.5418 Å (Cu Kα)
Structure: a cell relaxed with GGA-PBE

Crystal structure
```
CsNaH4Pd
1.0
5.873 0.000 0.000
0.000 5.873 0.000
0.000 0.000 7.822
Cs Na H Pd
2 2 8 2
Direct
0.000 0.000 0.000 Cs
0.500 0.500 0.500 Cs
0.000 0.000 0.500 Na
0.500 0.500 0.000 Na
0.200 0.300 0.250 H
0.200 0.700 0.250 H
0.300 0.200 0.750 H
0.300 0.800 0.750 H
0.700 0.200 0.750 H
0.700 0.800 0.750 H
0.800 0.300 0.250 H
0.800 0.700 0.250 H
0.000 0.500 0.250 Pd
0.500 0.000 0.750 Pd
```

Top 6 peaks for 2θ = 10–90°, sorted by position:
18.9°, intensity 100
30.4°, intensity 43
31.4°, intensity 84
36.1°, intensity 37
43.6°, intensity 17
54.7°, intensity 33



Record 4
Calculated XRD peak list
Compound: CsNaH2Pt
Radiation: λ = 1.5418 Å (Cu Kα)
Structure: a cell relaxed with GGA-PBE

Crystal structure
```
CsNaH2Pt
1.0
5.072 0.000 0.000
-2.536 4.393 0.000
0.000 0.000 17.175
Cs Na H Pt
3 3 6 3
Direct
0.000 0.000 0.000 Cs
0.333 0.667 0.667 Cs
0.667 0.333 0.333 Cs
0.000 0.000 0.512 Na
0.333 0.667 0.179 Na
0.667 0.333 0.845 Na
0.000 0.000 0.157 H
0.000 0.000 0.352 H
0.333 0.667 0.019 H
0.333 0.667 0.824 H
0.667 0.333 0.491 H
0.667 0.333 0.686 H
0.000 0.000 0.252 Pt
0.333 0.667 0.919 Pt
0.667 0.333 0.585 Pt
```

Top 6 peaks for 2θ = 10–90°, sorted by position:
15.5°, intensity 65
20.9°, intensity 91
29.1°, intensity 100
35.4°, intensity 62
38.8°, intensity 40
46.4°, intensity 28



Record 5
Calculated XRD peak list
Compound: CsNb4HO5
Radiation: λ = 1.5418 Å (Cu Kα)
Structure: a cell relaxed with GGA-PBE

Crystal structure
```
CsNb4HO5
1.0
4.216 0.000 0.000
0.000 4.216 0.000
0.000 0.000 8.480
Cs Nb H O
1 4 1 5
Direct
0.000 0.000 0.000 Cs
0.000 0.500 0.500 Nb
0.500 0.000 0.500 Nb
0.500 0.500 0.259 Nb
0.500 0.500 0.741 Nb
0.500 0.500 0.000 H
0.000 0.000 0.500 O
0.000 0.500 0.252 O
0.000 0.500 0.748 O
0.500 0.000 0.252 O
0.500 0.000 0.748 O
```

Top 6 peaks for 2θ = 10–90°, sorted by position:
29.9°, intensity 100
31.8°, intensity 64
42.9°, intensity 55
44.2°, intensity 33
53.2°, intensity 37
62.1°, intensity 34



Record 6
Calculated XRD peak list
Compound: Cs2Nb2H2O7
Radiation: λ = 1.5418 Å (Cu Kα)
Structure: a cell relaxed with GGA-PBE

Crystal structure
```
Cs2Nb2H2O7
1.0
5.729 0.000 0.000
0.000 18.476 0.000
0.000 0.000 9.374
Cs Nb H O
8 8 8 28
Direct
0.093 0.198 0.250 Cs
0.093 0.302 0.750 Cs
0.096 0.029 0.750 Cs
0.096 0.471 0.250 Cs
0.904 0.529 0.750 Cs
0.904 0.971 0.250 Cs
0.907 0.698 0.250 Cs
0.907 0.802 0.750 Cs
0.389 0.655 0.557 Nb
0.389 0.655 0.943 Nb
0.389 0.845 0.057 Nb
0.389 0.845 0.443 Nb
0.611 0.155 0.557 Nb
0.611 0.155 0.943 Nb
0.611 0.345 0.057 Nb
0.611 0.345 0.443 Nb
0.472 0.061 0.168 H
0.472 0.061 0.332 H
0.472 0.439 0.668 H
0.472 0.439 0.832 H
0.528 0.561 0.168 H
0.528 0.561 0.332 H
0.528 0.939 0.668 H
0.528 0.939 0.832 H
0.266 0.750 0.000 O
0.266 0.750 0.500 O
0.279 0.637 0.750 O
0.279 0.863 0.250 O
0.286 0.586 0.064 O
0.286 0.586 0.436 O
0.286 0.914 0.564 O
0.286 0.914 0.936 O
0.297 0.157 0.553 O
0.297 0.157 0.947 O
0.297 0.343 0.053 O
0.297 0.343 0.447 O
0.366 0.051 0.250 O
0.366 0.449 0.750 O
0.634 0.551 0.250 O
0.634 0.949 0.750 O
0.703 0.657 0.553 O
0.703 0.657 0.947 O
0.703 0.843 0.053 O
0.703 0.843 0.447 O
0.714 0.086 0.064 O
0.714 0.086 0.436 O
0.714 0.414 0.564 O
0.714 0.414 0.936 O
0.721 0.137 0.750 O
0.721 0.363 0.250 O
0.734 0.250 0.000 O
0.734 0.250 0.500 O
```

Top 6 peaks for 2θ = 10–90°, sorted by position:
23.2°, intensity 56
24.5°, intensity 100
24.8°, intensity 46
26.5°, intensity 83
34.7°, intensity 49
45.4°, intensity 45



Record 7
Calculated XRD peak list
Compound: CsNbH2O4
Radiation: λ = 1.5418 Å (Cu Kα)
Structure: a cell relaxed with GGA-PBE

Crystal structure
```
CsNbH2O4
1.0
5.125 0.000 0.000
0.000 6.377 0.000
-2.287 0.000 7.505
Cs Nb H O
2 2 4 8
Direct
0.008 0.250 0.267 Cs
0.992 0.750 0.733 Cs
0.478 0.750 0.230 Nb
0.522 0.250 0.770 Nb
0.185 0.250 0.933 H
0.500 0.000 0.500 H
0.500 0.500 0.500 H
0.815 0.750 0.067 H
0.107 0.750 0.160 O
0.397 0.250 0.980 O
0.400 0.019 0.620 O
0.400 0.481 0.620 O
0.600 0.519 0.380 O
0.600 0.981 0.380 O
0.603 0.750 0.020 O
0.893 0.250 0.840 O
```

Top 6 peaks for 2θ = 10–90°, sorted by position:
23.2°, intensity 100
23.7°, intensity 44
28.0°, intensity 35
28.2°, intensity 64
37.0°, intensity 29
38.0°, intensity 35



Record 8
Calculated XRD peak list
Compound: CsNbH2O4
Radiation: λ = 1.5418 Å (Cu Kα)
Structure: a cell relaxed with GGA-PBE

Crystal structure
```
CsNbH2O4
1.0
0.000 5.917 3.938
5.659 0.000 3.938
5.659 5.917 0.000
Cs Nb H O
2 2 4 8
Direct
0.000 0.000 0.000 Cs
0.250 0.250 0.250 Cs
0.509 0.509 0.491 Nb
0.759 0.759 0.741 Nb
0.147 0.599 0.801 H
0.449 0.796 0.103 H
0.599 0.147 0.454 H
0.796 0.449 0.651 H
0.268 0.468 0.802 O
0.448 0.788 0.982 O
0.468 0.268 0.462 O
0.489 0.798 0.268 O
0.788 0.448 0.782 O
0.798 0.489 0.445 O
0.805 0.982 0.452 O
0.982 0.805 0.761 O
```

Top 6 peaks for 2θ = 10–90°, sorted by position:
21.7°, intensity 100
27.2°, intensity 61
27.6°, intensity 57
30.2°, intensity 21
41.4°, intensity 40
42.2°, intensity 38



Record 9
Calculated XRD peak list
Compound: CsH2OsO4
Radiation: λ = 1.5418 Å (Cu Kα)
Structure: a cell relaxed with GGA-PBE

Crystal structure
```
CsH2OsO4
1.0
0.000 5.644 3.980
5.630 0.000 3.980
5.630 5.644 0.000
Cs H Os O
2 4 2 8
Direct
0.000 0.000 0.000 Cs
0.250 0.250 0.250 Cs
0.067 0.687 0.447 H
0.451 0.803 0.563 H
0.687 0.067 0.799 H
0.803 0.451 0.183 H
0.471 0.471 0.529 Os
0.721 0.721 0.779 Os
0.247 0.439 0.503 O
0.439 0.247 0.811 O
0.439 0.747 0.811 O
0.538 0.791 0.417 O
0.747 0.439 0.003 O
0.791 0.538 0.254 O
0.833 0.996 0.712 O
0.996 0.833 0.459 O
```

Top 6 peaks for 2θ = 10–90°, sorted by position:
22.3°, intensity 93
27.4°, intensity 100
31.7°, intensity 36
42.4°, intensity 72
45.5°, intensity 15
51.3°, intensity 25



Record 10
Calculated XRD peak list
Compound: CsHPdO3
Radiation: λ = 1.5418 Å (Cu Kα)
Structure: a cell relaxed with GGA-PBE

Crystal structure
```
CsHPdO3
1.0
5.885 0.000 0.000
-0.720 5.879 0.000
-2.124 -2.247 5.593
Cs H Pd O
2 2 2 6
Direct
0.143 0.349 0.204 Cs
0.857 0.651 0.796 Cs
0.425 0.728 0.956 H
0.575 0.272 0.044 H
0.269 0.996 0.642 Pd
0.731 0.004 0.358 Pd
0.050 0.213 0.633 O
0.377 0.726 0.682 O
0.427 0.755 0.121 O
0.573 0.245 0.879 O
0.623 0.274 0.318 O
0.950 0.787 0.367 O
```

Top 6 peaks for 2θ = 10–90°, sorted by position:
25.4°, intensity 61
26.0°, intensity 100
26.7°, intensity 59
29.9°, intensity 90
30.6°, intensity 48
30.8°, intensity 46



Record 11
Calculated XRD peak list
Compound: CsTaH2O4
Radiation: λ = 1.5418 Å (Cu Kα)
Structure: a cell relaxed with GGA-PBE

Crystal structure
```
CsTaH2O4
1.0
0.000 5.862 3.946
5.708 0.000 3.946
5.708 5.862 0.000
Cs Ta H O
2 2 4 8
Direct
0.000 0.000 0.000 Cs
0.250 0.250 0.250 Cs
0.510 0.510 0.490 Ta
0.760 0.760 0.740 Ta
0.147 0.605 0.792 H
0.458 0.794 0.103 H
0.605 0.147 0.456 H
0.794 0.458 0.645 H
0.269 0.471 0.795 O
0.455 0.785 0.981 O
0.471 0.269 0.465 O
0.490 0.798 0.263 O
0.785 0.455 0.779 O
0.798 0.490 0.448 O
0.802 0.987 0.452 O
0.987 0.802 0.760 O
```

Top 6 peaks for 2θ = 10–90°, sorted by position:
21.7°, intensity 100
27.2°, intensity 58
27.5°, intensity 57
30.5°, intensity 21
41.5°, intensity 40
42.0°, intensity 39



Record 12
Calculated XRD peak list
Compound: CsTaH2O4
Radiation: λ = 1.5418 Å (Cu Kα)
Structure: a cell relaxed with GGA-PBE

Crystal structure
```
CsTaH2O4
1.0
5.088 0.000 0.000
0.000 6.413 0.000
-2.350 0.000 7.521
Cs Ta H O
2 2 4 8
Direct
0.005 0.250 0.267 Cs
0.995 0.750 0.733 Cs
0.479 0.750 0.230 Ta
0.521 0.250 0.770 Ta
0.177 0.250 0.930 H
0.500 0.000 0.500 H
0.500 0.500 0.500 H
0.823 0.750 0.070 H
0.105 0.750 0.154 O
0.394 0.250 0.974 O
0.402 0.020 0.621 O
0.402 0.480 0.621 O
0.598 0.520 0.379 O
0.598 0.980 0.379 O
0.606 0.750 0.026 O
0.895 0.250 0.846 O
```

Top 6 peaks for 2θ = 10–90°, sorted by position:
23.2°, intensity 100
23.7°, intensity 44
27.8°, intensity 35
28.3°, intensity 62
36.8°, intensity 29
37.8°, intensity 32